# 1
Simulated powder XRD pattern of CaI2O12 for CuKα, from a structure optimized by DFT (GGA-PBE).
Lines closer than 0.1° are merged.

Crystal structure
Lattice parameters (Å, degrees): 13.2859 7.4313 14.6082 64.90 30.43 84.67
Positions (direct):
1 Ca 0.0000 0.0000 0.0000
2 Ca 0.2500 0.2500 0.2500
3 I 0.0052 0.7239 0.2344
4 I 0.0156 0.2134 0.2448
5 I 0.2134 0.0156 0.5261
6 I 0.7239 0.0052 0.0366
7 O 0.0549 0.9343 0.2534
8 O 0.0649 0.8725 0.5650
9 O 0.1124 0.8382 0.7477
10 O 0.2089 0.4278 0.8210
11 O 0.2601 0.9830 0.9127
12 O 0.3373 0.4058 0.9899
13 O 0.3447 0.6555 0.6640
14 O 0.4058 0.3373 0.2670
15 O 0.4278 0.2089 0.5423
16 O 0.4290 0.7077 0.0411
17 O 0.4927 0.9966 0.3157
18 O 0.5023 0.9484 0.1376
19 O 0.5860 0.9142 0.9053
20 O 0.6555 0.3447 0.3358
21 O 0.6850 0.7524 0.1851
22 O 0.7077 0.4290 0.8222
23 O 0.7524 0.6850 0.3775
24 O 0.8382 0.1124 0.3016
25 O 0.8725 0.0649 0.4976
26 O 0.9142 0.5860 0.5945
27 O 0.9343 0.0549 0.7573
28 O 0.9484 0.5023 0.4118
29 O 0.9830 0.2601 0.8442
30 O 0.9966 0.4927 0.1951

Most intense lines, 2θ = 15–90°, sorted by position:
d [Å], Rel. int.
5.409, 100
4.656, 46
3.779, 41
3.590, 43
3.393, 16
3.341, 17
3.234, 19
3.005, 21
2.543, 29
2.102, 22

# 2
Simulated powder XRD pattern of SrSi for CuKα, from a structure optimized by DFT (GGA-PBE).
Lines closer than 0.1° are merged.

Crystal structure
Lattice parameters (Å, degrees): 11.3567 11.3567 11.3567 155.50 110.38 75.04
Positions (direct):
1 Sr 0.0000 0.0000 0.0000
2 Sr 0.0226 0.1883 0.8343
3 Sr 0.2914 0.0000 0.2914
4 Sr 0.3310 0.8310 0.5000
5 Sr 0.3540 0.1883 0.1657
6 Sr 0.5000 0.5000 0.0000
7 Sr 0.6460 0.8117 0.8343
8 Sr 0.6690 0.1690 0.5000
9 Sr 0.7086 0.0000 0.7086
10 Sr 0.9774 0.8117 0.1657
11 Si 0.0869 0.4319 0.6549
12 Si 0.1420 0.6420 0.5000
13 Si 0.1912 0.3711 0.8201
14 Si 0.2230 0.5681 0.6549
15 Si 0.4490 0.6289 0.8201
16 Si 0.5510 0.3711 0.1799
17 Si 0.7770 0.4319 0.3451
18 Si 0.8088 0.6289 0.1799
19 Si 0.8580 0.3580 0.5000
20 Si 0.9131 0.5681 0.3451

Most intense lines, 2θ = 15–90°, sorted by position:
d [Å], Rel. int.
3.508, 27
3.030, 100
3.003, 24
2.886, 46
2.618, 33
2.409, 33
2.161, 16
1.879, 12
1.845, 13
1.609, 13